1.
Theoretical powder X-ray diffraction pattern
Compound: La8Cu3O16
Radiation: λ = 1.5418 Å (Cu Kα)
Structure: a DFT-relaxed cell (GGA-PBE, Alexandria)
Kinematic intensities with the Lorentz-polarization factor, no thermal factor.

The 6 most intense peaks (2θ from 15° to 90°), most intense first:
2θ/deg, I (rel.), h k l
30.76, 1000, 1 2 -2
30.13, 707, 1 0 -3
30.36, 680, 2 0 0
30.58, 592, -2 2 1
31.21, 456, 0 2 1
23.17, 341, 0 2 -1

Atomic structure:
```
data_La8Cu3O16
_symmetry_space_group_name_H-M 'P -1'
_symmetry_Int_Tables_number 2
_symmetry_space_group_name_Hall '-P 1'
_cell_length_a 6.973
_cell_length_b 8.055
_cell_length_c 9.135
_cell_angle_alpha 103.03
_cell_angle_beta 111.55
_cell_angle_gamma 107.26
loop_
_atom_site_label
_atom_site_type_symbol
_atom_site_fract_x
_atom_site_fract_y
_atom_site_fract_z
_atom_site_occupancy
La1 La 0.015 0.094 0.327 1
La2 La 0.027 0.583 0.326 1
La3 La 0.467 0.166 0.167 1
La4 La 0.482 0.658 0.177 1
Cu1 Cu 0.016 0.258 0.016 1
Cu2 Cu 0.500 0.500 0.500 1
O1 O 0.000 0.000 0.000 1
O2 O 0.000 0.500 0.000 1
O3 O 0.116 0.190 0.627 1
O4 O 0.133 0.681 0.625 1
O5 O 0.269 0.393 0.269 1
O6 O 0.372 0.067 0.375 1
O7 O 0.372 0.558 0.878 1
O8 O 0.385 0.065 0.872 1
O9 O 0.490 0.746 0.482 1
```

=====

2.
Theoretical powder X-ray diffraction pattern
Compound: La2Cu2O5
Radiation: λ = 1.5418 Å (Cu Kα)
Structure: a DFT-relaxed cell (GGA-PBE, Alexandria)
Kinematic intensities with the Lorentz-polarization factor, no thermal factor.

The 6 most intense peaks (2θ from 15° to 90°), most intense first:
2θ/deg, I (rel.), h k l
34.11, 1000, 1 2 1
31.26, 803, 2 0 1
44.42, 677, 2 1 2
31.97, 371, 0 0 2
30.01, 348, 2 1 0
20.73, 324, 1 0 1

Atomic structure:
```
data_La2Cu2O5
_symmetry_space_group_name_H-M 'P 42/m'
_symmetry_Int_Tables_number 84
_symmetry_space_group_name_Hall '-P 4c'
_cell_length_a 6.658
_cell_length_b 6.658
_cell_length_c 5.599
_cell_angle_alpha 90.00
_cell_angle_beta 90.00
_cell_angle_gamma 90.00
loop_
_atom_site_label
_atom_site_type_symbol
_atom_site_fract_x
_atom_site_fract_y
_atom_site_fract_z
_atom_site_occupancy
La1 La 0.111 0.266 0.000 1
Cu1 Cu 0.314 0.411 0.500 1
O1 O 0.000 0.000 0.250 1
O2 O 0.213 0.593 0.241 1
```

=====

3.
Theoretical powder X-ray diffraction pattern
Compound: La8Cu3O16
Radiation: λ = 1.5418 Å (Cu Kα)
Structure: a DFT-relaxed cell (GGA-PBE, Alexandria)
Kinematic intensities with the Lorentz-polarization factor, no thermal factor.

The 6 most intense peaks (2θ from 15° to 90°), most intense first:
2θ/deg, I (rel.), h k l
31.29, 1000, 1 0 -2
33.62, 674, 0 2 -1
24.57, 348, 0 0 2
48.29, 332, 1 0 4
43.70, 267, -1 2 3
41.88, 230, 2 0 -2

Atomic structure:
```
data_La8Cu3O16
_symmetry_space_group_name_H-M 'P 1'
_symmetry_Int_Tables_number 1
_symmetry_space_group_name_Hall 'P 1'
_cell_length_a 7.093
_cell_length_b 7.546
_cell_length_c 8.418
_cell_angle_alpha 63.48
_cell_angle_beta 69.20
_cell_angle_gamma 74.61
loop_
_atom_site_label
_atom_site_type_symbol
_atom_site_fract_x
_atom_site_fract_y
_atom_site_fract_z
_atom_site_occupancy
La1 La 0.000 0.000 0.000 1
La2 La 0.001 0.517 0.002 1
La3 La 0.002 0.244 0.515 1
La4 La 0.009 0.761 0.515 1
La5 La 0.549 0.931 0.864 1
La6 La 0.555 0.448 0.863 1
La7 La 0.556 0.174 0.377 1
La8 La 0.558 0.691 0.378 1
Cu1 Cu 0.278 0.596 0.190 1
Cu2 Cu 0.279 0.096 0.189 1
Cu3 Cu 0.279 0.346 0.689 1
O1 O 0.271 0.220 0.942 1
O2 O 0.274 0.718 0.945 1
O3 O 0.278 0.846 0.190 1
O4 O 0.279 0.104 0.688 1
O5 O 0.279 0.588 0.691 1
O6 O 0.280 0.346 0.189 1
O7 O 0.283 0.973 0.434 1
O8 O 0.286 0.471 0.437 1
O9 O 0.644 0.555 0.085 1
O10 O 0.645 0.047 0.105 1
O11 O 0.645 0.300 0.601 1
O12 O 0.653 0.797 0.597 1
O13 O 0.905 0.894 0.781 1
O14 O 0.912 0.391 0.779 1
O15 O 0.913 0.137 0.294 1
O16 O 0.914 0.642 0.275 1
```

=====

Number 2 is which compound? La2Cu2O5

=====

Number 2 is which compound? La2Cu2O5